Structure and computed powder diffraction line list of Na2CuH2S2O8 (the PBE geometry in Alexandria; Cu Kα X-rays).

Structure:
```
Na2CuH2S2O8
1.0
5.2533 0.0000 0.0000
0.0000 13.8934 0.0000
-2.8048 0.0000 5.8477
Na Cu H S O
4 2 4 4 16
Cartesian
-0.6259 1.4934 2.1204 Na
-2.0283 5.4533 5.0442 Na
4.4767 8.4401 0.8035 Na
3.0743 12.4000 3.7274 Na
2.6266 0.0000 0.0000 Cu
1.2242 6.9467 2.9239 Cu
-1.4151 2.6040 5.1708 H
-0.0127 4.3427 2.2469 H
2.4611 9.5507 3.6008 H
3.8636 11.2895 0.6770 H
-0.9547 8.7762 4.4471 S
0.4477 12.0640 1.5232 S
2.0007 1.8294 4.3245 S
3.4031 5.1173 1.4007 S
-2.1862 3.0104 4.6962 O
-0.7838 3.9363 1.7723 O
-1.6964 7.8088 5.2686 O
-0.2940 13.0314 2.3447 O
-0.5060 8.2065 3.1498 O
0.8964 12.6337 0.2260 O
0.0901 9.4862 5.1668 O
1.4925 11.3539 2.2430 O
0.9559 2.5395 3.6048 O
2.3583 4.4072 0.6809 O
1.5520 1.2597 5.6218 O
2.9544 5.6870 2.6979 O
2.7424 0.8621 3.5030 O
4.1448 6.0846 0.5791 O
3.2322 9.9572 4.0754 O
4.6346 10.8830 1.1515 O
```

Most intense lines, 5 to 70 degrees two-theta, most intense first:
hkl  two_theta  I_rel
0 2 1  19.83  100.0
1 3 -1  26.63  87.4
1 1 1  29.66  78.1
1 0 -2  28.09  39.0
0 3 1  24.52  36.2
1 1 -2  28.83  32.8
0 2 0  12.74  31.5
0 2 2  33.25  28.8
1 3 0  26.93  26.8
1 4 0  31.95  24.5